Diffraction record for BeAgP. The powder XRD pattern is calculated, not measured: it uses a crystal structure in Alexandria, relaxed with PBE and Cu Ka.
Intensities are scaled so that the largest is 100.

Atomic structure:
```
BeAgP
1.0
3.6358 0.0000 0.0000
0.0000 8.6707 0.0000
0.0000 0.0000 6.3360
Be Ag P
4 4 4
Direct
0.0000 0.2386 0.0000 Be
0.0000 0.7614 0.5000 Be
0.5000 0.2614 0.5000 Be
0.5000 0.7386 0.0000 Be
0.0000 0.4865 0.3876 Ag
0.0000 0.5135 0.8876 Ag
0.5000 0.0135 0.8876 Ag
0.5000 0.9865 0.3876 Ag
0.0000 0.2041 0.3328 P
0.0000 0.7959 0.8328 P
0.5000 0.2959 0.8328 P
0.5000 0.7041 0.3328 P
```

Main lines, most intense first (10° ≤ 2θ ≤ 90°):
Position (°2θ), I (rel.)
26.59, 100
28.17, 79
39.12, 75
39.84, 56
49.51, 53
20.49, 52
35.08, 38
51.06, 25
41.67, 21
58.54, 18